Entry 1:
Calculated X-ray powder pattern
Compound: SrNdO3
Radiation: Cu Ka
Structure: a cell relaxed with PBE
Lines closer than 0.1° are merged.

```
SrNdO3
1.0
4.496 0.000 0.000
0.000 4.496 0.000
0.000 0.000 4.496
Sr Nd O
1 1 3
Direct
0.000 0.000 0.000
0.500 0.500 0.500
0.000 0.500 0.500
0.500 0.000 0.500
0.500 0.500 0.000
```

Most intense lines, 15 to 90 degrees two-theta, most intense first:
| d (Å) | 2θ (°) | Rel. int. |
| --- | --- | --- |
| 3.179 | 28.06 | 1000 |
| 1.836 | 49.66 | 423 |
| 2.248 | 40.11 | 326 |
| 1.202 | 79.81 | 217 |
| 1.590 | 58.02 | 208 |
| 1.422 | 65.66 | 186 |
| 4.496 | 19.74 | 141 |
| 1.298 | 72.87 | 68 |
| 2.011 | 45.09 | 61 |
| 1.124 | 86.60 | 32 |



Entry 2:
Calculated X-ray powder pattern
Compound: SrNd2O4
Radiation: Cu Ka
Structure: a cell relaxed with PBE
Lines closer than 0.1° are merged.

```
SrNd2O4
1.0
10.423 0.000 0.000
0.000 3.569 0.000
0.000 0.000 12.412
Sr Nd O
4 8 16
Direct
0.247 0.250 0.149
0.253 0.750 0.649
0.747 0.250 0.351
0.753 0.750 0.851
0.076 0.250 0.887
0.081 0.250 0.388
0.419 0.750 0.888
0.424 0.750 0.387
0.576 0.250 0.613
0.581 0.250 0.112
0.919 0.750 0.612
0.924 0.750 0.113
0.011 0.750 0.785
0.075 0.250 0.580
0.131 0.750 0.021
0.213 0.750 0.316
0.287 0.250 0.816
0.369 0.250 0.521
0.425 0.750 0.080
0.489 0.250 0.285
0.511 0.750 0.715
0.575 0.250 0.920
0.631 0.750 0.479
0.713 0.750 0.184
0.787 0.250 0.684
0.869 0.250 0.979
0.925 0.750 0.420
0.989 0.250 0.215
```

Most intense lines, 15 to 90 degrees two-theta, most intense first:
| d (Å) | 2θ (°) | Rel. int. |
| --- | --- | --- |
| 3.032 | 29.46 | 1000 |
| 2.966 | 30.13 | 876 |
| 3.103 | 28.77 | 494 |
| 2.136 | 42.32 | 449 |
| 2.945 | 30.35 | 418 |
| 1.538 | 60.17 | 272 |
| 2.105 | 42.98 | 247 |
| 1.742 | 52.54 | 220 |
| 1.729 | 52.96 | 201 |
| 1.764 | 51.83 | 198 |



Entry 3:
Calculated X-ray powder pattern
Compound: SrNdTi4O12
Radiation: Cu Ka
Structure: a cell relaxed with PBE
Lines closer than 0.1° are merged.

```
SrNdTi4O12
1.0
7.779 0.000 0.000
0.000 3.888 3.899
0.000 -3.888 3.899
Sr Nd Ti O
1 1 4 12
Direct
0.000 0.000 0.000
0.500 0.530 0.530
0.249 0.020 0.510
0.249 0.510 0.020
0.751 0.020 0.510
0.751 0.510 0.020
0.000 0.029 0.493
0.000 0.493 0.029
0.242 0.747 0.747
0.255 0.250 0.776
0.255 0.776 0.250
0.285 0.288 0.288
0.500 0.528 0.979
0.500 0.979 0.528
0.715 0.288 0.288
0.745 0.250 0.776
0.745 0.776 0.250
0.758 0.747 0.747
```

Most intense lines, 15 to 90 degrees two-theta, most intense first:
| d (Å) | 2θ (°) | Rel. int. |
| --- | --- | --- |
| 4.494 | 19.75 | 1000 |
| 2.752 | 32.54 | 989 |
| 2.347 | 38.35 | 532 |
| 1.589 | 58.05 | 383 |
| 1.944 | 46.72 | 327 |
| 1.786 | 51.15 | 230 |
| 1.377 | 68.11 | 168 |
| 1.950 | 46.58 | 158 |
| 2.247 | 40.13 | 151 |
| 1.497 | 61.98 | 135 |



Entry 4:
Calculated X-ray powder pattern
Compound: SrNdZrTiO6
Radiation: Cu Ka
Structure: a cell relaxed with PBE
Lines closer than 0.1° are merged.

```
SrNdZrTiO6
1.0
0.000 4.059 4.059
4.059 0.000 4.059
4.059 4.059 0.000
Sr Nd Zr Ti O
1 1 1 1 6
Direct
0.000 0.000 0.000
0.500 0.500 0.500
0.250 0.250 0.250
0.750 0.750 0.750
0.507 0.507 0.993
0.507 0.993 0.507
0.507 0.993 0.993
0.993 0.507 0.507
0.993 0.507 0.993
0.993 0.993 0.507
```

Most intense lines, 15 to 90 degrees two-theta, most intense first:
| d (Å) | 2θ (°) | Rel. int. |
| --- | --- | --- |
| 2.870 | 31.16 | 1000 |
| 1.657 | 55.44 | 391 |
| 2.030 | 44.65 | 342 |
| 1.435 | 64.98 | 203 |
| 1.284 | 73.82 | 168 |
| 2.344 | 38.41 | 118 |
| 4.687 | 18.93 | 93 |
| 1.172 | 82.28 | 67 |
| 2.448 | 36.71 | 60 |
| 1.224 | 78.08 | 35 |



Entry 5:
Calculated X-ray powder pattern
Compound: Nd3TaO7
Radiation: Cu Ka
Structure: a cell relaxed with PBE
Lines closer than 0.1° are merged.

```
Nd3TaO7
1.0
5.504 -3.788 0.000
5.504 3.788 0.000
0.000 0.000 7.730
Nd Ta O
6 2 14
Direct
0.000 0.000 0.000
0.000 0.000 0.500
0.065 0.479 0.750
0.479 0.065 0.250
0.521 0.935 0.750
0.935 0.521 0.250
0.500 0.500 0.000
0.500 0.500 0.500
0.109 0.153 0.250
0.153 0.109 0.750
0.186 0.561 0.033
0.186 0.561 0.467
0.433 0.567 0.750
0.439 0.814 0.033
0.439 0.814 0.467
0.561 0.186 0.533
0.561 0.186 0.967
0.567 0.433 0.250
0.814 0.439 0.533
0.814 0.439 0.967
0.847 0.891 0.250
0.891 0.847 0.750
```

Most intense lines, 15 to 90 degrees two-theta, most intense first:
| d (Å) | 2θ (°) | Rel. int. |
| --- | --- | --- |
| 3.163 | 28.21 | 1000 |
| 3.120 | 28.61 | 921 |
| 1.930 | 47.08 | 679 |
| 2.705 | 33.11 | 449 |
| 1.643 | 55.97 | 281 |
| 2.752 | 32.54 | 235 |
| 1.625 | 56.65 | 188 |
| 1.255 | 75.80 | 150 |
| 1.657 | 55.44 | 111 |
| 1.651 | 55.67 | 111 |



Entry 6:
Calculated X-ray powder pattern
Compound: Nd2Ta2O9
Radiation: Cu Ka
Structure: a cell relaxed with PBE
Lines closer than 0.1° are merged.

```
Nd2Ta2O9
1.0
7.794 -1.948 0.000
7.794 1.948 0.000
-2.557 0.000 6.216
Nd Ta O
2 2 9
Direct
0.195 0.195 0.186
0.805 0.805 0.814
0.461 0.461 0.194
0.539 0.539 0.806
0.048 0.048 0.842
0.219 0.219 0.561
0.324 0.324 0.080
0.419 0.419 0.841
0.500 0.500 0.500
0.581 0.581 0.159
0.676 0.676 0.920
0.781 0.781 0.439
0.952 0.952 0.158
```

Most intense lines, 15 to 90 degrees two-theta, most intense first:
| d (Å) | 2θ (°) | Rel. int. |
| --- | --- | --- |
| 3.026 | 29.52 | 1000 |
| 3.809 | 23.35 | 819 |
| 3.085 | 28.94 | 647 |
| 2.980 | 29.98 | 570 |
| 2.522 | 35.60 | 522 |
| 3.761 | 23.66 | 513 |
| 1.948 | 46.63 | 511 |
| 2.703 | 33.14 | 457 |
| 1.939 | 46.84 | 435 |
| 3.108 | 28.72 | 409 |



Entry 7:
Calculated X-ray powder pattern
Compound: NdTaO4
Radiation: Cu Ka
Structure: a cell relaxed with PBE
Lines closer than 0.1° are merged.

```
NdTaO4
1.0
5.282 0.000 0.000
0.000 5.664 0.000
-0.650 0.000 5.433
Nd Ta O
2 2 8
Direct
0.000 0.235 0.250
0.000 0.765 0.750
0.500 0.314 0.750
0.500 0.686 0.250
0.256 0.095 0.611
0.256 0.905 0.111
0.275 0.437 0.993
0.275 0.563 0.493
0.725 0.437 0.507
0.725 0.563 0.007
0.744 0.095 0.889
0.744 0.905 0.389
```

Most intense lines, 15 to 90 degrees two-theta, most intense first:
| d (Å) | 2θ (°) | Rel. int. |
| --- | --- | --- |
| 3.278 | 27.20 | 1000 |
| 3.019 | 29.59 | 788 |
| 2.717 | 32.97 | 253 |
| 1.960 | 46.31 | 206 |
| 1.924 | 47.24 | 205 |
| 2.622 | 34.20 | 189 |
| 2.832 | 31.59 | 185 |
| 2.010 | 45.11 | 171 |
| 1.697 | 54.05 | 166 |
| 1.650 | 55.71 | 133 |



Entry 8:
Calculated X-ray powder pattern
Compound: NdTa7O19
Radiation: Cu Ka
Structure: a cell relaxed with PBE
Lines closer than 0.1° are merged.

```
NdTa7O19
1.0
6.311 0.000 0.000
-3.155 5.465 0.000
0.000 0.000 20.217
Nd Ta O
2 14 38
Direct
0.333 0.667 0.250
0.667 0.333 0.750
0.004 0.359 0.594
0.004 0.645 0.906
0.333 0.667 0.750
0.355 0.359 0.906
0.355 0.996 0.594
0.359 0.004 0.406
0.359 0.355 0.094
0.641 0.645 0.594
0.641 0.996 0.906
0.645 0.004 0.094
0.645 0.641 0.406
0.667 0.333 0.250
0.996 0.355 0.406
0.996 0.641 0.094
0.000 0.394 0.500
0.000 0.606 0.000
0.003 0.244 0.097
0.003 0.759 0.403
0.049 0.432 0.694
0.049 0.617 0.806
0.241 0.244 0.403
0.241 0.997 0.097
0.244 0.003 0.903
0.244 0.241 0.597
0.333 0.667 0.113
0.333 0.667 0.387
0.333 0.667 0.589
0.333 0.667 0.911
0.383 0.432 0.806
0.383 0.951 0.694
0.394 0.000 0.500
0.394 0.394 0.000
0.432 0.049 0.306
0.432 0.383 0.194
0.568 0.617 0.694
0.568 0.951 0.806
0.606 0.000 0.000
0.606 0.606 0.500
0.617 0.049 0.194
0.617 0.568 0.306
0.667 0.333 0.089
0.667 0.333 0.411
0.667 0.333 0.613
0.667 0.333 0.887
0.756 0.759 0.097
0.756 0.997 0.403
0.759 0.003 0.597
0.759 0.756 0.903
0.951 0.383 0.306
0.951 0.568 0.194
0.997 0.241 0.903
0.997 0.756 0.597
```

Most intense lines, 15 to 90 degrees two-theta, most intense first:
| d (Å) | 2θ (°) | Rel. int. |
| --- | --- | --- |
| 3.118 | 28.63 | 1000 |
| 3.369 | 26.45 | 630 |
| 2.488 | 36.11 | 506 |
| 2.677 | 33.48 | 476 |
| 3.012 | 29.66 | 405 |
| 1.822 | 50.07 | 400 |
| 1.603 | 57.51 | 394 |
| 5.465 | 16.22 | 268 |
| 5.054 | 17.55 | 251 |
| 1.702 | 53.86 | 218 |



Entry 9:
Calculated X-ray powder pattern
Compound: NdTaO4
Radiation: Cu Ka
Structure: a cell relaxed with PBE
Lines closer than 0.1° are merged.

```
NdTaO4
1.0
7.709 0.000 0.000
0.000 5.518 0.000
-1.344 0.000 7.654
Nd Ta O
4 4 16
Direct
0.151 0.221 0.397
0.151 0.279 0.897
0.849 0.721 0.103
0.849 0.779 0.603
0.335 0.732 0.193
0.335 0.768 0.693
0.665 0.232 0.307
0.665 0.268 0.807
0.116 0.515 0.171
0.116 0.985 0.671
0.171 0.506 0.628
0.171 0.994 0.128
0.332 0.649 0.943
0.332 0.851 0.443
0.442 0.091 0.798
0.442 0.409 0.298
0.558 0.591 0.702
0.558 0.909 0.202
0.668 0.149 0.557
0.668 0.351 0.057
0.829 0.006 0.872
0.829 0.494 0.372
0.884 0.015 0.329
0.884 0.485 0.829
```

Most intense lines, 15 to 90 degrees two-theta, most intense first:
| d (Å) | 2θ (°) | Rel. int. |
| --- | --- | --- |
| 3.127 | 28.54 | 1000 |
| 3.145 | 28.38 | 747 |
| 2.759 | 32.45 | 313 |
| 3.063 | 29.15 | 266 |
| 1.848 | 49.32 | 239 |
| 1.656 | 55.48 | 227 |
| 2.611 | 34.35 | 175 |
| 3.796 | 23.43 | 173 |
| 1.937 | 46.92 | 166 |
| 2.489 | 36.09 | 161 |



Entry 10:
Calculated X-ray powder pattern
Compound: NdTaO4
Radiation: Cu Ka
Structure: a cell relaxed with PBE
Lines closer than 0.1° are merged.

```
NdTaO4
1.0
3.612 -5.704 0.000
3.612 5.704 0.000
-3.336 0.000 3.957
Nd Ta O
2 2 8
Direct
0.132 0.868 0.750
0.868 0.132 0.250
0.400 0.600 0.250
0.600 0.400 0.750
0.144 0.555 0.341
0.230 0.294 0.800
0.294 0.230 0.300
0.445 0.856 0.159
0.555 0.144 0.841
0.706 0.770 0.700
0.770 0.706 0.200
0.856 0.445 0.659
```

Most intense lines, 15 to 90 degrees two-theta, most intense first:
| d (Å) | 2θ (°) | Rel. int. |
| --- | --- | --- |
| 3.251 | 27.43 | 1000 |
| 3.046 | 29.32 | 825 |
| 2.762 | 32.42 | 252 |
| 1.984 | 45.73 | 244 |
| 1.616 | 56.99 | 242 |
| 1.912 | 47.56 | 227 |
| 2.852 | 31.37 | 216 |
| 2.576 | 34.82 | 181 |
| 1.706 | 53.74 | 168 |
| 1.978 | 45.87 | 162 |



Entry 11:
Calculated X-ray powder pattern
Compound: NdTaO3
Radiation: Cu Ka
Structure: a cell relaxed with PBE
Lines closer than 0.1° are merged.

```
NdTaO3
1.0
4.053 0.000 0.000
0.000 4.053 0.000
0.000 0.000 4.053
Nd Ta O
1 1 3
Direct
0.000 0.000 0.000
0.500 0.500 0.500
0.000 0.500 0.500
0.500 0.000 0.500
0.500 0.500 0.000
```

Most intense lines, 15 to 90 degrees two-theta, most intense first:
| d (Å) | 2θ (°) | Rel. int. |
| --- | --- | --- |
| 2.866 | 31.21 | 1000 |
| 1.655 | 55.54 | 405 |
| 2.027 | 44.72 | 272 |
| 1.282 | 73.95 | 176 |
| 1.433 | 65.09 | 171 |
| 1.170 | 82.43 | 58 |
| 4.053 | 21.93 | 34 |
| 1.813 | 50.34 | 14 |
| 1.351 | 69.59 | 6 |